(1)
Starting from a structure optimized by DFT (GGA+U), the PXRD pattern of LiNiP2O7 was simulated for λ = 1.5418 Å (Cu Kα).

Structural model:
a = 8.2846 Å, b = 5.1086 Å, c = 13.7515 Å
α = 90.00°, β = 110.96°, γ = 90.00°
Space group Pc (No. 7)
Asymmetric unit:
1 Li 0.0000 0.0152 0.0000 (multiplicity 2)
2 Li 0.4451 0.4274 0.3223 (multiplicity 2)
3 Ni 0.1651 0.0186 0.2986 (multiplicity 2)
4 Ni 0.7139 0.4932 0.5178 (multiplicity 2)
5 P 0.1267 0.4746 0.6375 (multiplicity 2)
6 P 0.2582 0.4803 0.4686 (multiplicity 2)
7 P 0.6101 0.0425 0.8594 (multiplicity 2)
8 P 0.7300 0.0129 0.6807 (multiplicity 2)
9 O 0.1136 0.1791 0.6522 (multiplicity 2)
10 O 0.1560 0.2880 0.9054 (multiplicity 2)
11 O 0.1572 0.2232 0.4320 (multiplicity 2)
12 O 0.2011 0.3782 0.2400 (multiplicity 2)
13 O 0.2805 0.4819 0.0880 (multiplicity 2)
14 O 0.4265 0.0208 0.3528 (multiplicity 2)
15 O 0.4397 0.4588 0.4644 (multiplicity 2)
16 O 0.5966 0.0235 0.2403 (multiplicity 2)
17 O 0.6535 0.3355 0.8755 (multiplicity 2)
18 O 0.6700 0.1731 0.0896 (multiplicity 2)
19 O 0.7215 0.3000 0.6466 (multiplicity 2)
20 O 0.7445 0.1381 0.4343 (multiplicity 2)
21 O 0.9099 0.0397 0.2602 (multiplicity 2)
22 O 0.9655 0.3996 0.0579 (multiplicity 2)

The 10 most intense peaks (2θ = 15–90°), in order of falling intensity:
| 2θ (°) | I (rel.) | h k l |
| --- | --- | --- |
| 22.24 | 1000 | 0 1 2 |
| 22.99 | 631 | 2 0 0 |
| 31.40 | 350 | 1 1 -4 |
| 35.13 | 184 | 0 2 0 |
| 35.72 | 117 | 2 1 2 |
| 32.45 | 114 | 3 0 -2 |
| 55.88 | 108 | 0 3 2 |
| 39.47 | 82 | 1 0 -6 |
| 63.44 | 79 | 2 3 2 |
| 40.25 | 73 | 3 1 -4 |

(2)
Starting from a structure optimized by DFT (GGA+U), the PXRD pattern of LiNi4P3O12 was simulated for λ = 1.5418 Å (Cu Kα).

Structural model:
a = 11.5545 Å, b = 12.5719 Å, c = 6.5122 Å
α = 90.00°, β = 114.30°, γ = 90.00°
Space group C2/c (No. 15)
Asymmetric unit:
1 Li 0.0000 0.0006 0.2500 (multiplicity 4)
2 Ni 0.0000 0.2625 0.2500 (multiplicity 4)
3 Ni 0.0000 0.4950 0.7500 (multiplicity 4)
4 Ni 0.2122 0.1588 0.1230 (multiplicity 8)
5 P 0.0000 0.2906 0.7500 (multiplicity 4)
6 P 0.2273 0.1105 0.6207 (multiplicity 8)
7 O 0.0350 0.2227 0.9636 (multiplicity 8)
8 O 0.1028 0.3747 0.7573 (multiplicity 8)
9 O 0.1271 0.3972 0.3286 (multiplicity 8)
10 O 0.1591 0.0021 0.6006 (multiplicity 8)
11 O 0.1589 0.1660 0.3878 (multiplicity 8)
12 O 0.2198 0.1794 0.8111 (multiplicity 8)

The 10 most intense peaks (2θ = 15–90°), in order of falling intensity:
| 2θ (°) | I (rel.) | h k l |
| --- | --- | --- |
| 28.59 | 1000 | 1 1 -2 |
| 33.20 | 956 | 2 4 0 |
| 26.36 | 536 | 3 1 0 |
| 35.06 | 381 | 4 0 -2 |
| 34.05 | 269 | 4 0 0 |
| 30.11 | 252 | 0 0 2 |
| 42.84 | 220 | 3 1 -3 |
| 56.86 | 217 | 6 4 -2 |
| 21.19 | 186 | 1 1 1 |
| 57.15 | 185 | 2 0 -4 |

(3)
Starting from a structure optimized by DFT (GGA+U), the PXRD pattern of LiNiP2O7 was simulated for λ = 1.5418 Å (Cu Kα).

Structural model:
a = 7.0070 Å, b = 8.4082 Å, c = 9.2420 Å
α = 90.00°, β = 112.08°, γ = 90.00°
Space group P2_1/c (No. 14)
Asymmetric unit:
1 Li 0.2261 0.0709 0.1005 (multiplicity 4)
2 Ni 0.3065 0.0664 0.6826 (multiplicity 4)
3 P 0.0618 0.7343 0.7462 (multiplicity 4)
4 P 0.4697 0.7205 0.0321 (multiplicity 4)
5 O 0.0426 0.6066 0.6244 (multiplicity 4)
6 O 0.1093 0.6013 0.1967 (multiplicity 4)
7 O 0.1257 0.2415 0.7079 (multiplicity 4)
8 O 0.2459 0.6822 0.9051 (multiplicity 4)
9 O 0.3763 0.2263 0.5486 (multiplicity 4)
10 O 0.4653 0.6167 0.6070 (multiplicity 4)
11 O 0.4961 0.0857 0.3488 (multiplicity 4)

The 10 most intense peaks (2θ = 15–90°), in order of falling intensity:
| 2θ (°) | I (rel.) | h k l |
| --- | --- | --- |
| 29.32 | 1000 | 1 2 -2 |
| 29.55 | 786 | 2 1 -2 |
| 22.68 | 737 | 1 1 1 |
| 28.97 | 711 | 1 0 2 |
| 34.88 | 420 | 2 2 0 |
| 23.57 | 336 | 0 2 1 |
| 42.65 | 324 | 2 3 -2 |
| 20.74 | 259 | 0 0 2 |
| 58.10 | 236 | 3 3 -4 |
| 27.58 | 221 | 2 1 -1 |